Record 1
# ThCuSbO6
Simulated X-ray powder pattern, CuKα. Input: a DFT-relaxed cell (GGA-PBE, Alexandria).
Kinematic intensities with the Lorentz-polarization factor, no thermal factor.

Structure:
```
data_ThCuSbO6
_cell_length_a 4.960
_cell_length_b 4.960
_cell_length_c 9.812
_cell_angle_alpha 90.00
_cell_angle_beta 90.00
_cell_angle_gamma 90.00
_space_group_name_H-M_alt 'P 1'
_space_group_IT_number 1
loop_
_space_group_symop_operation_xyz
'x,y,z'
loop_
_atom_site_label
_atom_site_fract_x
_atom_site_fract_y
_atom_site_fract_z
Th1 0.000 0.000 0.000
Th2 0.500 0.500 0.500
Cu1 0.000 0.000 0.330
Cu2 0.500 0.500 0.830
Sb1 0.000 0.000 0.664
Sb2 0.500 0.500 0.164
O1 0.174 0.174 0.499
O2 0.202 0.202 0.812
O3 0.211 0.211 0.175
O4 0.289 0.711 0.675
O5 0.298 0.702 0.312
O6 0.326 0.674 0.999
O7 0.674 0.326 0.999
O8 0.702 0.298 0.312
O9 0.711 0.289 0.675
O10 0.789 0.789 0.175
O11 0.798 0.798 0.812
O12 0.826 0.826 0.499
```

Peak list (6 most intense, 10 to 90 degrees two-theta, by angle)
20.06 deg, d 4.427, I = 29.8
25.40 deg, d 3.507, I = 100.0
32.80 deg, d 2.730, I = 82.7
36.22 deg, d 2.480, I = 25.1
49.66 deg, d 1.836, I = 67.3
63.00 deg, d 1.476, I = 19.6

***

Record 2
# Ho3BiO6
Simulated X-ray powder pattern, CuKα. Input: a DFT-relaxed cell (GGA-PBE, Alexandria).
Kinematic intensities with the Lorentz-polarization factor, no thermal factor.

Structure:
```
data_Ho3BiO6
_cell_length_a 6.790
_cell_length_b 6.790
_cell_length_c 6.790
_cell_angle_alpha 91.23
_cell_angle_beta 91.23
_cell_angle_gamma 91.23
_space_group_name_H-M_alt 'P 1'
_space_group_IT_number 1
loop_
_space_group_symop_operation_xyz
'x,y,z'
loop_
_atom_site_label
_atom_site_fract_x
_atom_site_fract_y
_atom_site_fract_z
Ho1 0.054 0.751 0.564
Ho2 0.249 0.436 0.946
Ho3 0.436 0.946 0.249
Ho4 0.564 0.054 0.751
Ho5 0.751 0.564 0.054
Ho6 0.946 0.249 0.436
Bi1 0.000 0.000 0.000
Bi2 0.500 0.500 0.500
O1 0.022 0.672 0.889
O2 0.111 0.978 0.328
O3 0.175 0.424 0.605
O4 0.328 0.111 0.978
O5 0.395 0.825 0.576
O6 0.424 0.605 0.175
O7 0.576 0.395 0.825
O8 0.605 0.175 0.424
O9 0.672 0.889 0.022
O10 0.825 0.576 0.395
O11 0.889 0.022 0.672
O12 0.978 0.328 0.111
```

Peak list (6 most intense, 10 to 90 degrees two-theta, by angle)
23.20 deg, d 3.835, I = 33.3
26.26 deg, d 3.393, I = 49.2
29.16 deg, d 3.062, I = 90.9
29.69 deg, d 3.009, I = 39.9
32.19 deg, d 2.781, I = 100.0
49.71 deg, d 1.834, I = 41.6

***

Record 3
# La6P17Pd6
Simulated X-ray powder pattern, CuKα. Input: a DFT-relaxed cell (GGA-PBE, Alexandria).
Kinematic intensities with the Lorentz-polarization factor, no thermal factor.

Structure:
```
data_La6P17Pd6
_cell_length_a 9.073
_cell_length_b 9.073
_cell_length_c 9.073
_cell_angle_alpha 109.47
_cell_angle_beta 109.47
_cell_angle_gamma 109.47
_space_group_name_H-M_alt 'P 1'
_space_group_IT_number 1
loop_
_space_group_symop_operation_xyz
'x,y,z'
loop_
_atom_site_label
_atom_site_fract_x
_atom_site_fract_y
_atom_site_fract_z
La1 0.000 0.286 0.286
La2 0.000 0.714 0.714
La3 0.286 0.000 0.286
La4 0.286 0.286 0.000
La5 0.714 0.000 0.714
La6 0.714 0.714 0.000
P1 0.000 0.000 0.000
P2 0.000 0.000 0.434
P3 0.000 0.219 0.639
P4 0.000 0.434 0.000
P5 0.000 0.639 0.219
P6 0.219 0.000 0.639
P7 0.219 0.639 0.000
P8 0.361 0.361 0.580
P9 0.361 0.580 0.361
P10 0.420 0.781 0.781
P11 0.434 0.000 0.000
P12 0.566 0.566 0.566
P13 0.580 0.361 0.361
P14 0.639 0.000 0.219
P15 0.639 0.219 0.000
P16 0.781 0.420 0.781
P17 0.781 0.781 0.420
Pd1 0.250 0.500 0.750
Pd2 0.250 0.750 0.500
Pd3 0.500 0.250 0.750
Pd4 0.500 0.750 0.250
Pd5 0.750 0.250 0.500
Pd6 0.750 0.500 0.250
```

Peak list (6 most intense, 10 to 90 degrees two-theta, by angle)
29.54 deg, d 3.024, I = 100.0
34.24 deg, d 2.619, I = 78.2
36.38 deg, d 2.469, I = 28.0
42.26 deg, d 2.138, I = 19.6
49.20 deg, d 1.852, I = 40.6
58.43 deg, d 1.579, I = 43.1

***

Record 4
# Ca4As7Ir8
Simulated X-ray powder pattern, CuKα. Input: a DFT-relaxed cell (GGA-PBE, Alexandria).
Kinematic intensities with the Lorentz-polarization factor, no thermal factor.

Structure:
```
data_Ca4As7Ir8
_cell_length_a 13.087
_cell_length_b 4.116
_cell_length_c 13.634
_cell_angle_alpha 90.00
_cell_angle_beta 98.14
_cell_angle_gamma 90.00
_space_group_name_H-M_alt 'P 1'
_space_group_IT_number 1
loop_
_space_group_symop_operation_xyz
'x,y,z'
loop_
_atom_site_label
_atom_site_fract_x
_atom_site_fract_y
_atom_site_fract_z
Ca1 0.015 0.250 0.209
Ca2 0.211 0.750 0.606
Ca3 0.286 0.750 0.933
Ca4 0.400 0.750 0.298
Ca5 0.600 0.250 0.702
Ca6 0.714 0.250 0.067
Ca7 0.789 0.250 0.394
Ca8 0.985 0.750 0.791
As1 0.030 0.250 0.628
As2 0.109 0.250 0.934
As3 0.192 0.750 0.190
As4 0.245 0.250 0.420
As5 0.348 0.250 0.779
As6 0.403 0.250 0.085
As7 0.440 0.750 0.602
As8 0.560 0.250 0.398
As9 0.597 0.750 0.915
As10 0.652 0.750 0.221
As11 0.755 0.750 0.580
As12 0.808 0.250 0.810
As13 0.891 0.750 0.066
As14 0.970 0.750 0.372
Ir1 0.056 0.250 0.452
Ir2 0.076 0.750 0.027
Ir3 0.158 0.750 0.361
Ir4 0.164 0.250 0.770
Ir5 0.221 0.250 0.099
Ir6 0.421 0.250 0.502
Ir7 0.446 0.750 0.781
Ir8 0.485 0.250 0.927
Ir9 0.515 0.750 0.073
Ir10 0.554 0.250 0.219
Ir11 0.579 0.750 0.498
Ir12 0.779 0.750 0.901
Ir13 0.836 0.750 0.230
Ir14 0.842 0.250 0.639
Ir15 0.924 0.250 0.973
Ir16 0.944 0.750 0.548
```

Peak list (6 most intense, 10 to 90 degrees two-theta, by angle)
19.95 deg, d 4.450, I = 97.9
20.57 deg, d 4.318, I = 48.5
33.77 deg, d 2.654, I = 59.2
35.14 deg, d 2.554, I = 70.1
35.64 deg, d 2.519, I = 61.8
44.00 deg, d 2.058, I = 100.0

***

Record 5
# TaMn2Au
Simulated X-ray powder pattern, CuKα. Input: a DFT-relaxed cell (GGA-PBE, Alexandria).
Kinematic intensities with the Lorentz-polarization factor, no thermal factor.

Structure:
```
data_TaMn2Au
_cell_length_a 5.014
_cell_length_b 5.014
_cell_length_c 5.014
_cell_angle_alpha 135.41
_cell_angle_beta 135.41
_cell_angle_gamma 64.89
_space_group_name_H-M_alt 'P 1'
_space_group_IT_number 1
loop_
_space_group_symop_operation_xyz
'x,y,z'
loop_
_atom_site_label
_atom_site_fract_x
_atom_site_fract_y
_atom_site_fract_z
Ta1 0.000 0.000 0.000
Mn1 0.500 0.500 0.000
Mn2 0.750 0.250 0.500
Au1 0.250 0.750 0.500
```

Peak list (6 most intense, 10 to 90 degrees two-theta, by angle)
25.67 deg, d 3.470, I = 38.9
39.71 deg, d 2.270, I = 100.0
42.73 deg, d 2.116, I = 17.7
47.82 deg, d 1.902, I = 25.4
66.05 deg, d 1.415, I = 19.1
83.55 deg, d 1.157, I = 21.9

***

Record 6
# In2AgTe3Cl
Simulated X-ray powder pattern, CuKα. Input: a DFT-relaxed cell (GGA-PBE, Alexandria).
Kinematic intensities with the Lorentz-polarization factor, no thermal factor.

Structure:
```
data_In2AgTe3Cl
_cell_length_a 4.310
_cell_length_b 4.310
_cell_length_c 11.411
_cell_angle_alpha 90.00
_cell_angle_beta 90.00
_cell_angle_gamma 90.00
_space_group_name_H-M_alt 'P 1'
_space_group_IT_number 1
loop_
_space_group_symop_operation_xyz
'x,y,z'
loop_
_atom_site_label
_atom_site_fract_x
_atom_site_fract_y
_atom_site_fract_z
In1 0.000 0.000 0.230
In2 0.000 0.000 0.770
Ag1 0.500 0.500 0.500
Te1 0.000 0.000 0.500
Te2 0.500 0.500 0.255
Te3 0.500 0.500 0.745
Cl1 0.000 0.000 0.000
```

Peak list (6 most intense, 10 to 90 degrees two-theta, by angle)
29.30 deg, d 3.048, I = 100.0
31.36 deg, d 2.853, I = 40.6
41.92 deg, d 2.155, I = 37.1
43.45 deg, d 2.083, I = 61.6
53.27 deg, d 1.720, I = 34.3
77.63 deg, d 1.230, I = 21.4

***

Record 7
# MgZrZn11
Simulated X-ray powder pattern, CuKα. Input: a DFT-relaxed cell (GGA-PBE, Alexandria).
Kinematic intensities with the Lorentz-polarization factor, no thermal factor.

Structure:
```
data_MgZrZn11
_cell_length_a 6.687
_cell_length_b 6.687
_cell_length_c 6.767
_cell_angle_alpha 99.07
_cell_angle_beta 99.07
_cell_angle_gamma 132.75
_space_group_name_H-M_alt 'P 1'
_space_group_IT_number 1
loop_
_space_group_symop_operation_xyz
'x,y,z'
loop_
_atom_site_label
_atom_site_fract_x
_atom_site_fract_y
_atom_site_fract_z
Mg1 0.000 0.000 0.000
Zr1 0.000 0.000 0.500
Zn1 0.000 0.500 0.500
Zn2 0.005 0.361 0.847
Zn3 0.298 0.509 0.293
Zn4 0.361 0.005 0.847
Zn5 0.491 0.702 0.707
Zn6 0.500 0.000 0.500
Zn7 0.500 0.500 0.000
Zn8 0.509 0.298 0.293
Zn9 0.639 0.995 0.153
Zn10 0.702 0.491 0.707
Zn11 0.995 0.639 0.153
```

Peak list (6 most intense, 10 to 90 degrees two-theta, by angle)
35.08 deg, d 2.558, I = 74.1
39.45 deg, d 2.284, I = 100.0
40.65 deg, d 2.219, I = 72.6
41.15 deg, d 2.194, I = 76.9
41.36 deg, d 2.183, I = 70.3
46.23 deg, d 1.964, I = 37.9

***

Record 8
# PuAl2ZnCu4
Simulated X-ray powder pattern, CuKα. Input: a DFT-relaxed cell (GGA-PBE, Alexandria).
Kinematic intensities with the Lorentz-polarization factor, no thermal factor.

Structure:
```
data_PuAl2ZnCu4
_cell_length_a 8.813
_cell_length_b 8.813
_cell_length_c 8.813
_cell_angle_alpha 27.30
_cell_angle_beta 27.30
_cell_angle_gamma 27.30
_space_group_name_H-M_alt 'P 1'
_space_group_IT_number 1
loop_
_space_group_symop_operation_xyz
'x,y,z'
loop_
_atom_site_label
_atom_site_fract_x
_atom_site_fract_y
_atom_site_fract_z
Pu1 0.000 0.000 0.000
Al1 0.241 0.241 0.241
Al2 0.759 0.759 0.759
Zn1 0.500 0.500 0.500
Cu1 0.131 0.131 0.131
Cu2 0.404 0.404 0.404
Cu3 0.596 0.596 0.596
Cu4 0.869 0.869 0.869
```

Peak list (6 most intense, 10 to 90 degrees two-theta, by angle)
25.70 deg, d 3.467, I = 64.3
30.40 deg, d 2.940, I = 28.7
35.07 deg, d 2.559, I = 37.2
37.73 deg, d 2.384, I = 72.9
43.52 deg, d 2.080, I = 100.0
79.88 deg, d 1.201, I = 19.9